Calculated powder XRD pattern of Ni2RhF for Cu Kα (weighted mean of Kα1 and Kα2), from a structure optimized by DFT (PBE+U).

Cell and atoms:
Cell: 5.234 5.234 5.234 Å, 108.96 108.96 110.50°
Fractional coordinates of all 8 atoms:
Ni 0.072 0.625 0.947
Ni 0.375 0.322 0.447
Ni 0.678 0.125 0.053
Ni 0.875 0.928 0.553
Rh 0.250 0.750 0.500
Rh 0.500 0.500 0.000
F 0.000 0.000 0.000
F 0.750 0.250 0.500

Largest 10 diffraction maxima, low angle first, 2θ = 10–80°:
- 2θ 20.86, rel. 21
- 2θ 36.30, rel. 56
- 2θ 36.66, rel. 100
- 2θ 42.02, rel. 56
- 2θ 47.35, rel. 22
- 2θ 48.14, rel. 10
- 2θ 56.97, rel. 42
- 2θ 60.93, rel. 14
- 2θ 70.29, rel. 25
- 2θ 73.63, rel. 12